Entry 1:
PmPr2Dy2Y: calculated powder diffractogram (Cu Kα (λ = 1.5418 Å)), based on a crystal structure in Alexandria, relaxed with PBE.
No peak broadening, texture or thermal motion is included.

Peak list (6 most intense, 10° ≤ 2θ ≤ 90°, by angle)
| two_theta | I/Imax | h k l |
| --- | --- | --- |
| 31.0 | 84.1 | 2 0 2 |
| 31.3 | 100.0 | 0 2 0 |
| 40.5 | 19.8 | 2 2 0 |
| 44.6 | 30.6 | 2 2 2 |
| 55.5 | 31.9 | 2 3 1 |
| 61.4 | 29.0 | 4 2 0 |

Structure:
abc: 7.1123 5.7199 9.9018
angles: 90.00 90.00 90.00
Space group Pmma (No. 51)
Symmetry-distinct sites (fractional):
Pm: 0.2500 0.0000 0.1597
Pr: 0.0000 0.0000 0.5000
Pr: 0.2500 0.5000 0.6754
Dy: 0.2500 0.0000 0.8321
Dy: 0.2500 0.5000 0.3354
Y: 0.0000 0.5000 0.0000



Entry 2:
PmDy3Pt8: calculated powder diffractogram (Cu Kα (λ = 1.5418 Å)), based on a crystal structure in Alexandria, relaxed with PBE.
No peak broadening, texture or thermal motion is included.

Peak list (6 most intense, 10° ≤ 2θ ≤ 90°, by angle)
| two_theta | I/Imax | h k l |
| --- | --- | --- |
| 35.7 | 63.5 | 1 0 3 |
| 38.6 | 100.0 | 1 1 2 |
| 39.4 | 97.5 | 0 2 1 |
| 43.3 | 28.3 | 2 0 2 |
| 65.6 | 32.8 | 0 2 5 |
| 68.7 | 30.6 | 2 2 0 |

Structure:
abc: 5.4673 5.4673 8.9103
angles: 90.00 90.00 120.00
Space group P3m1 (No. 156)
Symmetry-distinct sites (fractional):
Pm: 0.0000 0.0000 0.0000
Dy: 0.0000 0.0000 0.3720
Dy: 0.6667 0.3333 0.4968
Dy: 0.6667 0.3333 0.8646
Pt: 0.1645 0.3290 0.6818
Pt: 0.3333 0.6667 0.4326
Pt: 0.3333 0.6667 0.9330
Pt: 0.5026 0.0052 0.1850